No. 1
Diffraction record for Sc2Se3. The powder X-ray diffraction pattern is simulated, not measured: it uses a cell relaxed with GGA-PBE and Cu Kα, 1.54184 Å.
Peak positions follow from Bragg's law for the DFT cell and can differ from measured ones.

Peak list (10 most intense, 15 to 90 degrees two-theta, in order of rising 2θ)
| two_theta | I (rel.) |
| --- | --- |
| 27.86 | 29.8 |
| 28.51 | 29.5 |
| 32.47 | 100.0 |
| 33.04 | 49.0 |
| 45.73 | 17.1 |
| 47.00 | 68.3 |
| 47.42 | 17.1 |
| 57.56 | 16.8 |
| 59.01 | 17.3 |
| 78.65 | 21.6 |

Atomic structure:
Cell lengths 6.8159, 6.8159, 6.8159 Å; angles 147.33, 133.12, 58.31 degrees
Positions (direct):
Sc1 0.1620 0.1620 0.0000
Sc2 0.8380 0.8380 0.0000
Se1 0.0000 0.5000 0.5000
Se2 0.3213 0.8213 0.5000
Se3 0.6787 0.1787 0.5000

***

No. 2
Diffraction record for ScSi2. The powder X-ray diffraction pattern is simulated, not measured: it uses a cell relaxed with GGA-PBE and Cu Kα, 1.54184 Å.
Peak positions follow from Bragg's law for the DFT cell and can differ from measured ones.

Peak list (10 most intense, 15 to 90 degrees two-theta, in order of rising 2θ)
| two_theta | I (rel.) |
| --- | --- |
| 24.76 | 1.5 |
| 25.47 | 5.9 |
| 35.81 | 100.0 |
| 44.89 | 48.7 |
| 50.78 | 11.0 |
| 58.71 | 21.4 |
| 70.07 | 24.3 |
| 76.82 | 18.7 |
| 82.79 | 7.7 |
| 85.66 | 7.0 |

Atomic structure:
Cell lengths 4.0387, 4.0387, 3.5961 Å; angles 90.00, 90.00, 120.00 degrees
Positions (direct):
Sc1 0.0000 0.0000 0.0000
Si1 0.3333 0.6667 0.5000
Si2 0.6667 0.3333 0.5000

***

No. 3
Diffraction record for Sc5Si3. The powder X-ray diffraction pattern is simulated, not measured: it uses a cell relaxed with GGA-PBE and Cu Kα, 1.54184 Å.
Peak positions follow from Bragg's law for the DFT cell and can differ from measured ones.

Peak list (10 most intense, 15 to 90 degrees two-theta, in order of rising 2θ)
| two_theta | I (rel.) |
| --- | --- |
| 30.64 | 15.8 |
| 33.39 | 26.2 |
| 34.68 | 37.5 |
| 38.05 | 100.0 |
| 38.35 | 80.7 |
| 39.50 | 38.6 |
| 56.23 | 18.0 |
| 59.46 | 24.4 |
| 62.98 | 13.8 |
| 76.94 | 13.1 |

Atomic structure:
Cell lengths 7.9028, 7.9028, 5.8349 Å; angles 90.00, 90.00, 120.00 degrees
Positions (direct):
Sc1 0.0000 0.2415 0.2500
Sc2 0.0000 0.7585 0.7500
Sc3 0.2415 0.0000 0.2500
Sc4 0.2415 0.2415 0.7500
Sc5 0.3333 0.6667 0.0000
Sc6 0.3333 0.6667 0.5000
Sc7 0.6667 0.3333 0.0000
Sc8 0.6667 0.3333 0.5000
Sc9 0.7585 0.0000 0.7500
Sc10 0.7585 0.7585 0.2500
Si1 0.0000 0.3951 0.7500
Si2 0.0000 0.6049 0.2500
Si3 0.3951 0.0000 0.7500
Si4 0.3951 0.3951 0.2500
Si5 0.6049 0.0000 0.2500
Si6 0.6049 0.6049 0.7500

***

No. 4
Diffraction record for Sc5Si3. The powder X-ray diffraction pattern is simulated, not measured: it uses a cell relaxed with GGA-PBE and Cu Kα, 1.54184 Å.
Peak positions follow from Bragg's law for the DFT cell and can differ from measured ones.

Peak list (10 most intense, 15 to 90 degrees two-theta, in order of rising 2θ)
| two_theta | I (rel.) |
| --- | --- |
| 24.54 | 20.5 |
| 32.21 | 84.4 |
| 32.65 | 39.8 |
| 36.54 | 100.0 |
| 37.18 | 74.1 |
| 46.53 | 27.1 |
| 50.00 | 59.0 |
| 57.83 | 17.9 |
| 60.29 | 20.5 |
| 79.58 | 15.1 |

Atomic structure:
Cell lengths 8.3779, 8.3779, 5.5574 Å; angles 90.00, 90.00, 120.00 degrees
Positions (direct):
Sc1 0.0000 0.2515 0.2500
Sc2 0.0000 0.7485 0.7500
Sc3 0.2515 0.0000 0.2500
Sc4 0.2515 0.2515 0.7500
Sc5 0.3333 0.6667 0.2500
Sc6 0.3333 0.6667 0.7500
Sc7 0.6667 0.3333 0.2500
Sc8 0.6667 0.3333 0.7500
Sc9 0.7485 0.0000 0.7500
Sc10 0.7485 0.7485 0.2500
Si1 0.0000 0.3743 0.7500
Si2 0.0000 0.6257 0.2500
Si3 0.3743 0.0000 0.7500
Si4 0.3743 0.3743 0.2500
Si5 0.6257 0.0000 0.2500
Si6 0.6257 0.6257 0.7500

***

No. 5
Diffraction record for Sc2Si3. The powder X-ray diffraction pattern is simulated, not measured: it uses a cell relaxed with GGA-PBE and Cu Kα, 1.54184 Å.
Peak positions follow from Bragg's law for the DFT cell and can differ from measured ones.

Peak list (10 most intense, 15 to 90 degrees two-theta, in order of rising 2θ)
| two_theta | I (rel.) |
| --- | --- |
| 25.21 | 24.3 |
| 28.86 | 13.7 |
| 37.92 | 100.0 |
| 44.42 | 53.3 |
| 57.56 | 7.4 |
| 59.80 | 23.8 |
| 75.49 | 19.3 |
| 77.42 | 14.4 |
| 77.51 | 7.2 |
| 81.75 | 5.5 |

Atomic structure:
Cell lengths 6.4046, 4.0769, 4.0769 Å; angles 60.09, 90.00, 90.00 degrees
Positions (direct):
Sc1 0.2362 0.0000 0.0000
Sc2 0.7638 0.0000 0.0000
Si1 0.0000 0.3334 0.3334
Si2 0.5000 0.3331 0.3331
Si3 0.5000 0.6666 0.6666

***

No. 6
Diffraction record for Sm2ScSi2. The powder X-ray diffraction pattern is simulated, not measured: it uses a cell relaxed with GGA-PBE and Cu Kα, 1.54184 Å.
Peak positions follow from Bragg's law for the DFT cell and can differ from measured ones.

Peak list (10 most intense, 15 to 90 degrees two-theta, in order of rising 2θ)
| two_theta | I (rel.) |
| --- | --- |
| 20.45 | 26.4 |
| 27.23 | 43.1 |
| 31.97 | 51.0 |
| 34.29 | 100.0 |
| 38.88 | 22.3 |
| 41.58 | 18.5 |
| 50.42 | 16.4 |
| 51.44 | 17.6 |
| 55.92 | 24.9 |
| 57.44 | 17.1 |

Atomic structure:
Cell lengths 7.3243, 7.3243, 4.3436 Å; angles 90.00, 90.00, 90.00 degrees
Positions (direct):
Sm1 0.1770 0.3230 0.0000
Sm2 0.3230 0.8230 0.0000
Sm3 0.6770 0.1770 0.0000
Sm4 0.8230 0.6770 0.0000
Sc1 0.0000 0.0000 0.5000
Sc2 0.5000 0.5000 0.5000
Si1 0.1186 0.6186 0.5000
Si2 0.3814 0.1186 0.5000
Si3 0.6186 0.8814 0.5000
Si4 0.8814 0.3814 0.5000

***

No. 7
Diffraction record for Tb2Sc3Si4. The powder X-ray diffraction pattern is simulated, not measured: it uses a cell relaxed with GGA-PBE and Cu Kα, 1.54184 Å.
Peak positions follow from Bragg's law for the DFT cell and can differ from measured ones.

Peak list (10 most intense, 15 to 90 degrees two-theta, in order of rising 2θ)
| two_theta | I (rel.) |
| --- | --- |
| 22.47 | 50.0 |
| 25.03 | 22.9 |
| 27.90 | 28.2 |
| 28.55 | 32.4 |
| 33.33 | 91.9 |
| 33.88 | 100.0 |
| 35.23 | 28.6 |
| 38.61 | 33.6 |
| 39.91 | 26.5 |
| 53.56 | 23.4 |

Atomic structure:
Cell lengths 7.1160, 14.0414, 7.4037 Å; angles 90.00, 90.00, 90.00 degrees
Positions (direct):
Tb1 0.0120 0.0973 0.1741
Tb2 0.0120 0.4027 0.1741
Tb3 0.4880 0.5973 0.6741
Tb4 0.4880 0.9027 0.6741
Tb5 0.5120 0.0973 0.3259
Tb6 0.5120 0.4027 0.3259
Tb7 0.9880 0.5973 0.8259
Tb8 0.9880 0.9027 0.8259
Sc1 0.1608 0.7500 0.5026
Sc2 0.1701 0.1249 0.6765
Sc3 0.1701 0.3751 0.6765
Sc4 0.3299 0.6249 0.1765
Sc5 0.3299 0.8751 0.1765
Sc6 0.3392 0.2500 0.0026
Sc7 0.6608 0.7500 0.9974
Sc8 0.6701 0.1249 0.8235
Sc9 0.6701 0.3751 0.8235
Sc10 0.8299 0.6249 0.3235
Sc11 0.8299 0.8751 0.3235
Sc12 0.8392 0.2500 0.4974
Si1 0.0333 0.7500 0.1201
Si2 0.1566 0.5394 0.4642
Si3 0.1566 0.9606 0.4642
Si4 0.2139 0.2500 0.3759
Si5 0.2861 0.7500 0.8759
Si6 0.3434 0.0394 0.9642
Si7 0.3434 0.4606 0.9642
Si8 0.4667 0.2500 0.6201
Si9 0.5333 0.7500 0.3799
Si10 0.6566 0.5394 0.0358
Si11 0.6566 0.9606 0.0358
Si12 0.7139 0.2500 0.1241
Si13 0.7861 0.7500 0.6241
Si14 0.8434 0.0394 0.5358
Si15 0.8434 0.4606 0.5358
Si16 0.9667 0.2500 0.8799

***

No. 8
Diffraction record for TbScSi. The powder X-ray diffraction pattern is simulated, not measured: it uses a cell relaxed with GGA-PBE and Cu Kα, 1.54184 Å.
Peak positions follow from Bragg's law for the DFT cell and can differ from measured ones.

Peak list (10 most intense, 15 to 90 degrees two-theta, in order of rising 2θ)
| two_theta | I (rel.) |
| --- | --- |
| 24.27 | 48.6 |
| 25.28 | 86.3 |
| 29.02 | 45.3 |
| 33.41 | 34.2 |
| 34.71 | 100.0 |
| 35.17 | 32.8 |
| 35.40 | 51.1 |
| 35.89 | 54.1 |
| 36.92 | 19.9 |
| 56.13 | 18.5 |

Atomic structure:
Cell lengths 6.1546, 8.6138, 8.6138 Å; angles 115.97, 90.00, 90.00 degrees
Positions (direct):
Tb1 0.0000 0.0000 0.0000
Tb2 0.0000 0.2453 0.4992
Tb3 0.0000 0.4992 0.2453
Tb4 0.5000 0.2255 0.9497
Tb5 0.5000 0.5558 0.5558
Tb6 0.5000 0.9497 0.2255
Sc1 0.2495 0.5991 0.9054
Sc2 0.2495 0.9054 0.5991
Sc3 0.5000 0.2446 0.6021
Sc4 0.5000 0.6021 0.2446
Sc5 0.7505 0.5991 0.9054
Sc6 0.7505 0.9054 0.5991
Si1 0.0000 0.2375 0.8314
Si2 0.0000 0.6585 0.6585
Si3 0.0000 0.8314 0.2375
Si4 0.3084 0.2703 0.2703
Si5 0.5000 0.8677 0.8677
Si6 0.6916 0.2703 0.2703

***

No. 9
Diffraction record for Tm2Sc3Si4. The powder X-ray diffraction pattern is simulated, not measured: it uses a cell relaxed with GGA-PBE and Cu Kα, 1.54184 Å.
Peak positions follow from Bragg's law for the DFT cell and can differ from measured ones.

Peak list (10 most intense, 15 to 90 degrees two-theta, in order of rising 2θ)
| two_theta | I (rel.) |
| --- | --- |
| 22.65 | 53.1 |
| 25.23 | 24.1 |
| 28.12 | 27.6 |
| 28.78 | 32.9 |
| 33.60 | 88.9 |
| 34.16 | 100.0 |
| 35.52 | 27.8 |
| 38.93 | 33.1 |
| 40.24 | 24.6 |
| 54.02 | 23.1 |

Atomic structure:
Cell lengths 7.0591, 13.9301, 7.3464 Å; angles 90.00, 90.00, 90.00 degrees
Positions (direct):
Tm1 0.0122 0.0969 0.1756
Tm2 0.0122 0.4031 0.1756
Tm3 0.4878 0.5969 0.6756
Tm4 0.4878 0.9031 0.6756
Tm5 0.5122 0.0969 0.3244
Tm6 0.5122 0.4031 0.3244
Tm7 0.9878 0.5969 0.8244
Tm8 0.9878 0.9031 0.8244
Sc1 0.1609 0.7500 0.5038
Sc2 0.1698 0.1248 0.6769
Sc3 0.1698 0.3752 0.6769
Sc4 0.3302 0.6248 0.1769
Sc5 0.3302 0.8752 0.1769
Sc6 0.3391 0.2500 0.0038
Sc7 0.6609 0.7500 0.9962
Sc8 0.6698 0.1248 0.8231
Sc9 0.6698 0.3752 0.8231
Sc10 0.8302 0.6248 0.3231
Sc11 0.8302 0.8752 0.3231
Sc12 0.8391 0.2500 0.4962
Si1 0.0327 0.7500 0.1163
Si2 0.1590 0.5395 0.4652
Si3 0.1590 0.9605 0.4652
Si4 0.2150 0.2500 0.3718
Si5 0.2850 0.7500 0.8718
Si6 0.3410 0.0395 0.9652
Si7 0.3410 0.4605 0.9652
Si8 0.4673 0.2500 0.6163
Si9 0.5327 0.7500 0.3837
Si10 0.6590 0.5395 0.0348
Si11 0.6590 0.9605 0.0348
Si12 0.7150 0.2500 0.1282
Si13 0.7850 0.7500 0.6282
Si14 0.8410 0.0395 0.5348
Si15 0.8410 0.4605 0.5348
Si16 0.9673 0.2500 0.8837

***

No. 10
Diffraction record for TmScSi. The powder X-ray diffraction pattern is simulated, not measured: it uses a cell relaxed with GGA-PBE and Cu Kα, 1.54184 Å.
Peak positions follow from Bragg's law for the DFT cell and can differ from measured ones.

Peak list (10 most intense, 15 to 90 degrees two-theta, in order of rising 2θ)
| two_theta | I (rel.) |
| --- | --- |
| 24.54 | 59.1 |
| 25.55 | 89.7 |
| 29.36 | 46.6 |
| 33.76 | 34.1 |
| 35.07 | 100.0 |
| 35.57 | 33.0 |
| 35.77 | 57.7 |
| 36.30 | 50.9 |
| 49.82 | 19.2 |
| 56.36 | 23.4 |

Atomic structure:
Cell lengths 6.0840, 8.5292, 8.5292 Å; angles 115.98, 90.00, 90.00 degrees
Positions (direct):
Tm1 0.0000 0.0000 0.0000
Tm2 0.0000 0.5018 0.7543
Tm3 0.0000 0.7543 0.5018
Tm4 0.5000 0.0495 0.7809
Tm5 0.5000 0.4464 0.4464
Tm6 0.5000 0.7809 0.0495
Sc1 0.2481 0.0969 0.4091
Sc2 0.2481 0.4091 0.0969
Sc3 0.5000 0.3985 0.7598
Sc4 0.5000 0.7598 0.3985
Sc5 0.7519 0.0969 0.4091
Sc6 0.7519 0.4091 0.0969
Si1 0.0000 0.1738 0.7669
Si2 0.0000 0.3447 0.3447
Si3 0.0000 0.7669 0.1738
Si4 0.3062 0.7304 0.7304
Si5 0.5000 0.1376 0.1376
Si6 0.6938 0.7304 0.7304

***

No. 11
Diffraction record for ScV5Si5. The powder X-ray diffraction pattern is simulated, not measured: it uses a cell relaxed with GGA-PBE and Cu Kα, 1.54184 Å.
Peak positions follow from Bragg's law for the DFT cell and can differ from measured ones.

Peak list (10 most intense, 15 to 90 degrees two-theta, in order of rising 2θ)
| two_theta | I (rel.) |
| --- | --- |
| 36.45 | 27.6 |
| 39.20 | 55.0 |
| 39.89 | 58.5 |
| 40.79 | 37.3 |
| 40.92 | 65.2 |
| 41.52 | 95.9 |
| 42.01 | 100.0 |
| 43.74 | 55.6 |
| 50.16 | 32.1 |
| 69.06 | 18.9 |

Atomic structure:
Cell lengths 9.2736, 9.2736, 7.6202 Å; angles 114.19, 114.19, 30.83 degrees
Positions (direct):
Sc1 0.1424 0.1424 0.2559
Sc2 0.8576 0.8576 0.7441
V1 0.0630 0.5596 0.3110
V2 0.0646 0.0646 0.8103
V3 0.3577 0.3577 0.9753
V4 0.4367 0.4367 0.6808
V5 0.4404 0.9370 0.6890
V6 0.5596 0.0630 0.3110
V7 0.5633 0.5633 0.3192
V8 0.6423 0.6423 0.0247
V9 0.9354 0.9354 0.1897
V10 0.9370 0.4404 0.6890
Si1 0.0632 0.0632 0.4800
Si2 0.2156 0.2156 0.0075
Si3 0.2533 0.7467 0.0000
Si4 0.2880 0.2880 0.5879
Si5 0.4358 0.4358 0.3464
Si6 0.5642 0.5642 0.6536
Si7 0.7120 0.7120 0.4121
Si8 0.7467 0.2533 0.0000
Si9 0.7844 0.7844 0.9925
Si10 0.9368 0.9368 0.5200